This entry pairs a crystal structure of KCdN with its computed powder XRD pattern. Radiation: Cu Kα X-rays. Structure: a GGA-PBE-relaxed structure.
Intensities are scaled so that the largest is 100.

Atomic structure:
```
KCdN
1.0
7.510 0.000 0.000
0.000 4.260 0.000
0.000 0.000 6.894
K Cd N
4 4 4
Direct
0.044 0.250 0.151 K
0.456 0.750 0.651 K
0.544 0.250 0.349 K
0.956 0.750 0.849 K
0.144 0.250 0.586 Cd
0.356 0.750 0.086 Cd
0.644 0.250 0.914 Cd
0.856 0.750 0.414 Cd
0.174 0.750 0.388 N
0.326 0.250 0.888 N
0.674 0.750 0.112 N
0.826 0.250 0.612 N
```

Principal peaks in the range 10° ≤ 2θ ≤ 90°, by intensity:
index, two_theta, intensity
1 1 2, 35.6, 100
2 1 0, 31.8, 90
1 1 1, 27.3, 66
1 0 2, 28.5, 49
3 0 1, 38.3, 48
1 0 1, 17.5, 48
0 1 3, 44.8, 42
0 2 0, 42.4, 38
3 2 1, 58.4, 25
2 1 1, 34.4, 21



This entry pairs a crystal structure of SmPa with its computed powder XRD pattern. Radiation: Cu Kα X-rays. Structure: a GGA-PBE-relaxed structure.
Intensities are scaled so that the largest is 100.

Atomic structure:
```
SmPa
1.0
3.314 0.000 0.000
-1.657 2.870 0.000
0.000 0.000 5.926
Sm Pa
1 1
Direct
0.000 0.000 0.000 Sm
0.333 0.667 0.500 Pa
```

Principal peaks in the range 10° ≤ 2θ ≤ 90°, by intensity:
index, two_theta, intensity
1 0 1, 34.7, 100
0 0 2, 30.2, 32
1 0 3, 56.6, 25
1 0 0, 31.2, 24
1 1 2, 64.4, 23
1 0 2, 43.9, 20
1 1 0, 55.4, 18
2 0 1, 67.1, 15
1 1 4, 88.5, 10
2 0 3, 83.2, 9



This entry pairs a crystal structure of MgSi2 with its computed powder XRD pattern. Radiation: Cu Kα X-rays. Structure: a GGA-PBE-relaxed structure.
Intensities are scaled so that the largest is 100.

Atomic structure:
```
MgSi2
1.0
2.780 0.000 0.000
0.000 9.175 0.000
0.000 0.000 7.734
Mg Si
4 8
Direct
0.000 0.000 0.000 Mg
0.000 0.235 0.514 Mg
0.000 0.500 0.286 Mg
0.000 0.765 0.514 Mg
0.500 0.000 0.334 Si
0.500 0.000 0.674 Si
0.500 0.239 0.176 Si
0.500 0.250 0.840 Si
0.500 0.500 0.627 Si
0.500 0.500 0.967 Si
0.500 0.750 0.840 Si
0.500 0.761 0.176 Si
```

Principal peaks in the range 10° ≤ 2θ ≤ 90°, by intensity:
index, two_theta, intensity
0 2 3, 40.1, 100
0 4 0, 39.3, 61
1 2 1, 39.7, 55
1 1 2, 41.2, 26
2 2 3, 81.4, 25
1 1 1, 35.7, 20
2 4 0, 80.9, 20
1 2 2, 44.7, 18
1 0 0, 32.2, 16
0 6 3, 71.8, 16



This entry pairs a crystal structure of SrAgBi with its computed powder XRD pattern. Radiation: Cu Kα X-rays. Structure: a GGA-PBE-relaxed structure.
Intensities are scaled so that the largest is 100.

Atomic structure:
```
SrAgBi
1.0
4.953 0.000 0.000
-2.476 4.289 0.000
0.000 0.000 8.790
Sr Ag Bi
2 2 2
Direct
0.000 0.000 0.000 Sr
0.000 0.000 0.500 Sr
0.333 0.667 0.250 Ag
0.667 0.333 0.750 Ag
0.333 0.667 0.750 Bi
0.667 0.333 0.250 Bi
```

Principal peaks in the range 10° ≤ 2θ ≤ 90°, by intensity:
index, two_theta, intensity
1 0 2, 29.1, 100
1 1 0, 36.3, 75
1 1 4, 55.9, 43
0 0 2, 20.2, 34
1 1 2, 41.9, 33
2 0 2, 47.2, 26
2 1 2, 60.9, 25
0 0 4, 41.1, 18
1 0 1, 23.1, 18
3 0 4, 80.1, 15